Simulated X-ray diffraction stick pattern of HoEr3S4 for Cu Kα, from the PBE geometry in Alexandria.

The 6 most intense peaks (2θ from 5° to 70°), sorted by position:
- (1 1 1), 28.2 deg, d 3.159, rel. 84
- (2 0 0), 32.7 deg, d 2.736, rel. 100
- (2 2 0), 47.0 deg, d 1.935, rel. 72
- (3 1 1), 55.7 deg, d 1.650, rel. 41
- (2 2 2), 58.4 deg, d 1.580, rel. 25
- (4 0 0), 68.6 deg, d 1.368, rel. 12

Structural model:
```
data_HoEr3S4
_chemical_formula_sum 'Ho1 Er3 S4'
_space_group_name_H-M_alt 'P 1'
_space_group_IT_number 1
_cell_length_a 5.4718
_cell_length_b 5.4718
_cell_length_c 5.4718
_cell_angle_alpha 90.00
_cell_angle_beta 90.00
_cell_angle_gamma 90.00
loop_
_space_group_symop_operation_xyz
'x,y,z'
loop_
_atom_site_label
_atom_site_type_symbol
_atom_site_fract_x
_atom_site_fract_y
_atom_site_fract_z
Ho1 Ho 0.0000 0.0000 0.0000
Er1 Er 0.0000 0.5000 0.5000
Er2 Er 0.5000 0.0000 0.5000
Er3 Er 0.5000 0.5000 0.0000
S1 S 0.0000 0.0000 0.5000
S2 S 0.0000 0.5000 0.0000
S3 S 0.5000 0.0000 0.0000
S4 S 0.5000 0.5000 0.5000
```